Structure and computed powder XRD pattern of CsH6Au (a structure optimized by DFT (PBE); λ = 1.5418 Å (Cu Kα)).

Peak list (8 most intense, 15 to 90 degrees two-theta, sorted by position)
(hkl), Position (°2θ), I_rel
1 1 -1, 22.24, 100
2 0 0, 22.43, 49
1 1 1, 30.97, 43
0 2 0, 31.28, 21
2 0 -2, 32.02, 20
3 1 -1, 32.60, 38
2 2 0, 38.84, 24
3 3 -1, 56.51, 16

Crystal structure
Cell lengths 9.399, 5.718, 5.605 Å; angles 90.00, 122.49, 90.00 degrees
Fractional coordinates of all 16 atoms:
Cs (0.000, 0.000, 0.000)
Cs (0.500, 0.500, 0.000)
H (0.074, 0.500, 0.840)
H (0.137, 0.296, 0.553)
H (0.137, 0.704, 0.553)
H (0.363, 0.204, 0.447)
H (0.363, 0.796, 0.447)
H (0.426, 0.000, 0.160)
H (0.574, 0.000, 0.840)
H (0.637, 0.204, 0.553)
H (0.637, 0.796, 0.553)
H (0.863, 0.296, 0.447)
H (0.863, 0.704, 0.447)
H (0.926, 0.500, 0.160)
Au (0.000, 0.500, 0.500)
Au (0.500, 0.000, 0.500)